# La5Cd3
Simulated X-ray powder pattern, CuKα. Input: a DFT-relaxed cell (GGA-PBE, Alexandria).
No peak broadening, texture or thermal motion is included.

Principal peaks in the range 10 to 80 degrees two-theta, in order of rising 2θ:
Position (°2θ)  I/Imax  hkl
31.37  100  1 0 4
32.15  49  1 1 0
43.80  9  0 0 8
46.10  18  2 0 0
55.35  17  1 1 8
56.82  36  2 1 4
65.47  10  2 0 8
72.70  6  1 0 12
76.08  8  3 0 4
76.50  8  3 1 0

Structure:
Cell lengths 3.9379, 3.9379, 16.5362 Å; angles 90.00, 90.00, 90.00 degrees
Space group P4/mmm (No. 123)
One atom of each set of equivalent atoms:
La: 0.0000 0.0000 0.0000 (multiplicity 1)
La: 0.0000 0.0000 0.2351 (multiplicity 2)
La: 0.5000 0.5000 0.3829 (multiplicity 2)
Cd: 0.0000 0.0000 0.5000 (multiplicity 1)
Cd: 0.5000 0.5000 0.1220 (multiplicity 2)

---

# Cs2NpPdI6
Simulated X-ray powder pattern, CuKα. Input: a DFT-relaxed cell (GGA-PBE, Alexandria).
No peak broadening, texture or thermal motion is included.

Principal peaks in the range 10 to 80 degrees two-theta, in order of rising 2θ:
Position (°2θ)  I/Imax  hkl
11.99  45  1 0 0
20.84  15  1 1 0
27.34  100  2 0 1
28.36  14  0 1 2
35.45  46  0 2 2
42.40  35  2 2 0
46.22  24  0 2 3
51.20  18  0 4 1
68.59  15  4 2 1
69.78  16  2 2 4

Structure:
Cell lengths 8.5265, 8.5265, 6.9589 Å; angles 90.00, 90.00, 120.00 degrees
Space group P-3m1 (No. 164)
One atom of each set of equivalent atoms:
Cs: 0.3333 0.6667 0.2433 (multiplicity 2)
Np: 0.0000 0.0000 0.0000 (multiplicity 1)
Pd: 0.0000 0.0000 0.5000 (multiplicity 1)
I: 0.1678 0.3356 0.7430 (multiplicity 6)

---

# Rb2UBr7
Simulated X-ray powder pattern, CuKα. Input: a DFT-relaxed cell (GGA-PBE, Alexandria).
No peak broadening, texture or thermal motion is included.

Principal peaks in the range 10 to 80 degrees two-theta, in order of rising 2θ:
Position (°2θ)  I/Imax  hkl
12.04  100  1 1 0
12.77  36  2 0 0
13.27  77  2 0 -2
17.72  46  1 1 -2
18.91  34  4 0 -2
28.02  42  4 2 -2
28.42  57  2 0 2
29.26  34  2 2 -3
31.66  50  1 3 -1
42.04  37  4 0 -6

Structure:
Cell lengths 18.7818, 8.6698, 13.3567 Å; angles 90.00, 132.41, 90.00 degrees
Space group C2/c (No. 15)
One atom of each set of equivalent atoms:
Rb: 0.1797 0.0417 0.0709 (multiplicity 8)
U: 0.0000 0.4205 0.2500 (multiplicity 4)
Br: 0.0000 0.0979 0.2500 (multiplicity 4)
Br: 0.0920 0.3460 0.1585 (multiplicity 8)
Br: 0.1072 0.3038 0.7962 (multiplicity 8)
Br: 0.1657 0.3824 0.5155 (multiplicity 8)

---

# Ag3SbAu
Simulated X-ray powder pattern, CuKα. Input: a DFT-relaxed cell (GGA-PBE, Alexandria).
No peak broadening, texture or thermal motion is included.

Principal peaks in the range 10 to 80 degrees two-theta, in order of rising 2θ:
Position (°2θ)  I/Imax  hkl
30.91  33  3 0 2
34.20  50  1 0 5
34.34  39  2 1 0
36.21  95  1 1 3
36.87  100  2 1 2
38.15  84  4 0 1
39.83  95  2 1 3
40.83  47  1 0 6
42.67  47  3 1 2
43.67  51  3 0 5

Structure:
Cell lengths 9.5812, 3.1138, 13.6294 Å; angles 90.00, 90.00, 90.00 degrees
Space group Pnma (No. 62)
One atom of each set of equivalent atoms:
Ag: 0.0620 0.2500 0.2376 (multiplicity 4)
Ag: 0.0669 0.7500 0.4217 (multiplicity 4)
Ag: 0.1899 0.2500 0.7959 (multiplicity 4)
Sb: 0.1504 0.7500 0.9782 (multiplicity 4)
Au: 0.1855 0.7500 0.6206 (multiplicity 4)